Diffraction record for Ce2ThNi9. The XRD peak list is theoretical, not measured: it uses a cell relaxed with PBE and Cu Kα (weighted mean of Kα1 and Kα2).
Neutral-atom scattering factors, no anomalous dispersion.

The 10 most intense peaks (15° ≤ 2θ ≤ 90°), low angle first:
2θ (°), d/Å, Rel. int.
21.0, 4.237, 15
32.7, 2.737, 50
35.7, 2.518, 42
36.2, 2.483, 52
42.2, 2.142, 39
42.5, 2.129, 100
62.9, 1.478, 16
64.7, 1.440, 15
69.4, 1.355, 22
76.8, 1.241, 20

Cell and atoms:
Unit cell a=8.7630 b=8.7630 c=8.7630 alpha=32.92 beta=32.92 gamma=32.92
Atoms (fractional coordinates):
Ce 0.1396 0.1396 0.1396
Ce 0.8604 0.8604 0.8604
Th 0.0000 0.0000 0.0000
Ni 0.0824 0.5825 0.5825
Ni 0.3330 0.3330 0.3330
Ni 0.4175 0.4175 0.9176
Ni 0.4175 0.9176 0.4175
Ni 0.5000 0.5000 0.5000
Ni 0.5825 0.0824 0.5825
Ni 0.5825 0.5825 0.0824
Ni 0.6670 0.6670 0.6670
Ni 0.9176 0.4175 0.4175